# UC4O10
Calculated powder diffractogram, Cu Ka. Input: a GGA-PBE-relaxed structure.
Neutral-atom scattering factors, no anomalous dispersion.

Atomic structure:
```
UC4O10
1.0
4.5396 -4.5864 0.0000
4.5396 4.5864 0.0000
0.0000 0.0000 13.4667
U C O
2 8 20
direct
0.2500 0.7500 0.7500
0.7500 0.2500 0.2500
0.0114 0.3831 0.5790
0.1169 0.4886 0.0790
0.3831 0.0114 0.0790
0.4886 0.1169 0.5790
0.5114 0.8831 0.4210
0.6169 0.9886 0.9210
0.8831 0.5114 0.9210
0.9886 0.6169 0.4210
0.0156 0.7834 0.4561
0.0180 0.5396 0.8608
0.0396 0.5180 0.6392
0.0520 0.9480 0.7500
0.2166 0.9844 0.0439
0.2834 0.5156 0.0439
0.4480 0.5520 0.7500
0.4604 0.9820 0.6392
0.4820 0.9604 0.8608
0.4844 0.7166 0.4561
0.5156 0.2834 0.5439
0.5180 0.0396 0.1392
0.5396 0.0180 0.3608
0.5520 0.4480 0.2500
0.7166 0.4844 0.9561
0.7834 0.0156 0.9561
0.9480 0.0520 0.2500
0.9604 0.4820 0.3608
0.9820 0.4604 0.1392
0.9844 0.2166 0.5439
```

Most intense lines, 2θ from 10° to 80°, low angle first:
| 2theta | I (rel.) |
| --- | --- |
| 13.15 | 22 |
| 15.23 | 100 |
| 19.35 | 25 |
| 23.64 | 22 |
| 24.15 | 50 |
| 30.73 | 15 |
| 31.58 | 16 |
| 31.84 | 18 |
| 33.13 | 18 |
| 38.65 | 14 |